[1]
Simulated PXRD pattern
Compound: Er11In6Ge4
Radiation: λ = 1.5418 Å (Cu Kα)
Structure: a crystal structure in Alexandria, relaxed with PBE
Peak positions follow from Bragg's law for the DFT cell and can differ from measured ones.

Peak list (8 most intense, 2θ from 10° to 90°, most intense first)
32.79°, intensity 100, (3 2 3)
33.27°, intensity 92, (3 3 0)
36.47°, intensity 24, (3 0 5)
66.21°, intensity 23, (7 2 5)
35.13°, intensity 20, (3 3 2)
57.00°, intensity 16, (0 0 10)
47.77°, intensity 15, (6 0 0)
43.00°, intensity 13, (5 0 3)

Cell and atoms:
a = 11.423 Å, b = 11.423 Å, c = 16.160 Å
α = 90.00°, β = 90.00°, γ = 90.00°
Space group I4/mmm (No. 139)
Unique sites:
Er1 0.000 0.000 0.169 (multiplicity 4)
Er2 0.000 0.250 0.314 (multiplicity 16)
Er3 0.000 0.346 0.102 (multiplicity 16)
Er4 0.168 0.168 0.500 (multiplicity 8)
In1 0.129 0.129 0.000 (multiplicity 8)
In2 0.206 0.206 0.171 (multiplicity 16)
Ge1 0.000 0.000 0.380 (multiplicity 4)
Ge2 0.000 0.347 0.500 (multiplicity 8)
Ge3 0.000 0.500 0.250 (multiplicity 4)

[2]
Simulated PXRD pattern
Compound: Eu2Zn2CuP3
Radiation: λ = 1.5418 Å (Cu Kα)
Structure: a crystal structure in Alexandria, relaxed with PBE
Peak positions follow from Bragg's law for the DFT cell and can differ from measured ones.

Peak list (8 most intense, 2θ from 10° to 90°, most intense first)
35.27°, intensity 100, (1 0 6)
30.06°, intensity 96, (1 0 4)
44.41°, intensity 72, (1 1 0)
62.03°, intensity 36, (1 1 10)
26.50°, intensity 35, (1 0 2)
57.94°, intensity 23, (2 0 6)
41.00°, intensity 21, (0 0 10)
75.81°, intensity 21, (2 1 6)

Cell and atoms:
a = 4.0794 Å, b = 4.0794 Å, c = 22.0138 Å
α = 90.00°, β = 90.00°, γ = 120.00°
Space group P6_3/mmc (No. 194)
Unique sites:
Eu1 0.0000 0.0000 0.1569 (multiplicity 4)
Zn1 0.3333 0.6667 0.0420 (multiplicity 4)
Cu1 0.3333 0.6667 0.7500 (multiplicity 2)
P1 0.3333 0.6667 0.2500 (multiplicity 2)
P2 0.3333 0.6667 0.5732 (multiplicity 4)

[3]
Simulated PXRD pattern
Compound: Ca4Pu3CrN8
Radiation: λ = 1.5418 Å (Cu Kα)
Structure: a crystal structure in Alexandria, relaxed with PBE
Peak positions follow from Bragg's law for the DFT cell and can differ from measured ones.

Peak list (8 most intense, 2θ from 10° to 90°, most intense first)
37.24°, intensity 100, (0 2 4)
32.20°, intensity 93, (2 0 2)
15.75°, intensity 93, (0 0 3)
30.83°, intensity 52, (0 2 1)
53.95°, intensity 33, (2 2 0)
53.42°, intensity 33, (2 0 8)
31.80°, intensity 33, (0 0 6)
64.00°, intensity 28, (2 2 6)

Cell and atoms:
a = 6.7981 Å, b = 6.7981 Å, c = 16.8833 Å
α = 90.00°, β = 90.00°, γ = 120.00°
Space group R-3m (No. 166, hexagonal axes)
Unique sites:
Ca1 0.0000 0.0000 0.0000 (multiplicity 3)
Ca2 0.0000 0.5000 0.0000 (multiplicity 9)
Pu1 0.0000 0.5000 0.5000 (multiplicity 9)
Cr1 0.0000 0.0000 0.5000 (multiplicity 3)
N1 0.0000 0.0000 0.2399 (multiplicity 6)
N2 0.0034 0.5017 0.2374 (multiplicity 18)

[4]
Simulated PXRD pattern
Compound: KAs2P
Radiation: λ = 1.5418 Å (Cu Kα)
Structure: a crystal structure in Alexandria, relaxed with PBE
Peak positions follow from Bragg's law for the DFT cell and can differ from measured ones.

Peak list (8 most intense, 2θ from 10° to 90°, most intense first)
31.19°, intensity 100, (1 2 1)
13.13°, intensity 97, (0 1 0)
16.06°, intensity 67, (0 0 2)
29.61°, intensity 52, (1 2 -1)
20.94°, intensity 34, (1 1 1)
32.82°, intensity 34, (2 0 2)
18.59°, intensity 30, (1 1 -1)
24.89°, intensity 29, (2 0 0)

Cell and atoms:
a = 7.353 Å, b = 6.741 Å, c = 11.346 Å
α = 90.00°, β = 103.32°, γ = 90.00°
Space group P2/c (No. 13)
Unique sites:
K1 0.226 0.140 0.111 (multiplicity 4)
As1 0.198 0.361 0.564 (multiplicity 4)
As2 0.340 0.386 0.390 (multiplicity 4)
P1 0.487 0.287 0.916 (multiplicity 4)

[5]
Simulated PXRD pattern
Compound: PaSbHRh
Radiation: λ = 1.5418 Å (Cu Kα)
Structure: a crystal structure in Alexandria, relaxed with PBE
Peak positions follow from Bragg's law for the DFT cell and can differ from measured ones.

Peak list (8 most intense, 2θ from 10° to 90°, most intense first)
31.92°, intensity 100, (1 0 1)
41.08°, intensity 46, (1 1 0)
52.95°, intensity 24, (0 2 1)
69.13°, intensity 22, (2 1 1)
50.10°, intensity 16, (0 1 2)
61.50°, intensity 15, (1 1 2)
23.38°, intensity 12, (1 0 0)
81.44°, intensity 8, (1 2 2)

Cell and atoms:
a = 4.3941 Å, b = 4.3941 Å, c = 4.1465 Å
α = 90.00°, β = 90.00°, γ = 120.00°
Space group P3m1 (No. 156)
Unique sites:
Pa1 0.0000 0.0000 0.0000 (multiplicity 1)
Sb1 0.3333 0.6667 0.5333 (multiplicity 1)
H1 0.6667 0.3333 0.9489 (multiplicity 1)
Rh1 0.6667 0.3333 0.3619 (multiplicity 1)

[6]
Simulated PXRD pattern
Compound: LaDyEr3Tm
Radiation: λ = 1.5418 Å (Cu Kα)
Structure: a crystal structure in Alexandria, relaxed with PBE
Peak positions follow from Bragg's law for the DFT cell and can differ from measured ones.

Peak list (8 most intense, 2θ from 10° to 90°, most intense first)
30.49°, intensity 100, (5 1 -1)
32.12°, intensity 90, (0 2 0)
32.85°, intensity 80, (3 1 2)
30.63°, intensity 62, (5 1 1)
35.90°, intensity 43, (7 1 0)
32.68°, intensity 34, (3 1 -2)
30.06°, intensity 31, (1 1 2)
56.28°, intensity 29, (5 3 -1)

Cell and atoms:
a = 19.594 Å, b = 5.573 Å, c = 7.152 Å
α = 90.00°, β = 90.43°, γ = 90.00°
Space group C2/m (No. 12)
Unique sites:
La1 0.142 0.000 0.030 (multiplicity 4)
Dy1 0.152 0.000 0.451 (multiplicity 4)
Er1 0.024 0.000 0.722 (multiplicity 4)
Er2 0.163 0.500 0.720 (multiplicity 4)
Er3 0.222 0.500 0.237 (multiplicity 4)
Tm1 0.055 0.500 0.294 (multiplicity 4)

[7]
Simulated PXRD pattern
Compound: Dy5Pt3
Radiation: λ = 1.5418 Å (Cu Kα)
Structure: a crystal structure in Alexandria, relaxed with PBE
Peak positions follow from Bragg's law for the DFT cell and can differ from measured ones.

Peak list (8 most intense, 2θ from 10° to 90°, most intense first)
36.40°, intensity 100, (4 2 0)
33.09°, intensity 41, (2 1 2)
29.08°, intensity 36, (3 1 1)
32.37°, intensity 33, (3 2 1)
37.91°, intensity 25, (3 1 2)
36.99°, intensity 22, (3 0 2)
45.87°, intensity 21, (2 1 3)
22.66°, intensity 19, (2 1 1)

Cell and atoms:
a = 11.025 Å, b = 11.025 Å, c = 6.479 Å
α = 90.00°, β = 90.00°, γ = 90.00°
Space group P4/ncc (No. 130, origin choice 2)
Unique sites:
Dy1 0.043 0.160 0.122 (multiplicity 16)
Dy2 0.250 0.750 0.000 (multiplicity 4)
Pt1 0.096 0.596 0.750 (multiplicity 8)
Pt2 0.250 0.250 0.382 (multiplicity 4)

[8]
Simulated PXRD pattern
Compound: TbB14Mo
Radiation: λ = 1.5418 Å (Cu Kα)
Structure: a crystal structure in Alexandria, relaxed with PBE
Peak positions follow from Bragg's law for the DFT cell and can differ from measured ones.

Peak list (8 most intense, 2θ from 10° to 90°, most intense first)
16.23°, intensity 100, (0 2 0)
33.42°, intensity 65, (2 1 1)
27.78°, intensity 53, (1 1 2)
40.98°, intensity 52, (2 3 1)
24.77°, intensity 47, (1 2 1)
41.31°, intensity 40, (0 3 3)
36.39°, intensity 39, (1 3 2)
33.84°, intensity 33, (0 1 3)

Cell and atoms:
a = 5.876 Å, b = 10.923 Å, c = 8.191 Å
α = 90.00°, β = 90.00°, γ = 90.00°
Space group Imma (No. 74)
Unique sites:
Tb1 0.000 0.250 0.125 (multiplicity 4)
B1 0.000 0.080 0.671 (multiplicity 8)
B2 0.000 0.119 0.872 (multiplicity 8)
B3 0.000 0.168 0.470 (multiplicity 8)
B4 0.160 0.065 0.338 (multiplicity 16)
B5 0.246 0.077 0.548 (multiplicity 16)
Mo1 0.250 0.250 0.750 (multiplicity 4)